Structure and simulated X-ray diffraction stick pattern of PrLuHg2 (a GGA-PBE-relaxed structure; copper Kα).
Peak positions follow from Bragg's law for the DFT cell and can differ from measured ones.

Crystal structure
a = 3.6941 Å, b = 3.6941 Å, c = 7.7592 Å
α = 90.00°, β = 90.00°, γ = 90.00°
Positions (direct):
1 Pr 0.0000 0.0000 0.0000
2 Lu 0.0000 0.0000 0.5000
3 Hg 0.5000 0.5000 0.2767
4 Hg 0.5000 0.5000 0.7233

Main lines, in order of rising 2θ (2θ from 15° to 90°):
d_spacing, Rel. int., (hkl)
2.675, 100.0, 1 0 2
2.612, 49.9, 1 1 0
1.940, 8.2, 0 0 4
1.847, 18.2, 2 0 0
1.557, 16.2, 1 1 4
1.520, 36.4, 2 1 2
1.338, 9.8, 2 0 4
1.306, 5.9, 2 2 0
1.174, 8.0, 3 0 2
1.168, 8.4, 3 1 0